Diffraction record for Tl5PbS4. The X-ray powder pattern is simulated, not measured: it uses a structure optimized by DFT (GGA-PBE) and a wavelength of 1.5418 Å.
Peak positions follow from Bragg's law for the DFT cell and can differ from measured ones.

Most intense lines, 10 to 80 degrees two-theta, by angle:
Position (°2θ)  I_rel
23.2  1000
24.1  656
25.9  686
31.3  900
35.0  394
35.7  801
41.9  209
43.0  294
47.7  504
54.0  322

```
Tl5PbS4
1.0
9.2895 0.0000 0.0000
0.0000 10.2454 0.0000
0.0000 0.0000 7.3722
Tl Pb S
10 2 8
direct
0.0604 0.0043 0.2412 Tl
0.0604 0.4957 0.2412 Tl
0.2500 0.7500 0.8141 Tl
0.4396 0.0043 0.2412 Tl
0.4396 0.4957 0.2412 Tl
0.5604 0.5043 0.7588 Tl
0.5604 0.9957 0.7588 Tl
0.7500 0.2500 0.1859 Tl
0.9396 0.5043 0.7588 Tl
0.9396 0.9957 0.7588 Tl
0.2500 0.2500 0.7656 Pb
0.7500 0.7500 0.2344 Pb
0.0102 0.2500 0.9770 S
0.2500 0.5080 0.6318 S
0.2500 0.9920 0.6318 S
0.4898 0.2500 0.9770 S
0.5102 0.7500 0.0230 S
0.7500 0.0080 0.3682 S
0.7500 0.4920 0.3682 S
0.9898 0.7500 0.0230 S
```

***

Diffraction record for UTl3Pb2S6. The X-ray powder pattern is simulated, not measured: it uses a structure optimized by DFT (GGA-PBE) and a wavelength of 1.5418 Å.
Peak positions follow from Bragg's law for the DFT cell and can differ from measured ones.

Most intense lines, 10 to 80 degrees two-theta, by angle:
Position (°2θ)  I_rel
24.3  442
25.5  380
25.8  739
29.3  1000
29.4  501
40.8  194
41.2  383
42.8  357
49.7  251
53.0  188

```
UTl3Pb2S6
1.0
3.6673 -6.2971 0.0000
3.6673 6.2971 0.0000
-2.3849 0.0000 7.3393
U Tl Pb S
1 3 2 6
direct
0.0000 0.0000 0.0000 U
0.1685 0.8315 0.5000 Tl
0.5000 0.5000 0.5000 Tl
0.8315 0.1685 0.5000 Tl
0.3332 0.6668 0.0000 Pb
0.6668 0.3332 0.0000 Pb
0.0671 0.3649 0.2026 S
0.2255 0.2255 0.7876 S
0.3649 0.0671 0.2026 S
0.6351 0.9329 0.7974 S
0.7745 0.7745 0.2124 S
0.9329 0.6351 0.7974 S
```

***

Diffraction record for Tl2PbWS4. The X-ray powder pattern is simulated, not measured: it uses a structure optimized by DFT (GGA-PBE) and a wavelength of 1.5418 Å.
Peak positions follow from Bragg's law for the DFT cell and can differ from measured ones.

Most intense lines, 10 to 80 degrees two-theta, by angle:
Position (°2θ)  I_rel
22.0  812
28.5  1000
31.4  431
42.9  756
50.6  237
53.9  194
54.1  154
63.8  214
72.7  145
72.9  158

```
Tl2PbWS4
1.0
8.0679 0.0000 0.0000
0.0000 8.0679 0.0000
0.0000 0.0000 7.5077
Tl Pb W S
4 2 2 8
direct
0.0000 0.0000 0.0000 Tl
0.0000 0.5000 0.2500 Tl
0.5000 0.0000 0.7500 Tl
0.5000 0.5000 0.5000 Tl
0.0000 0.0000 0.5000 Pb
0.5000 0.5000 0.0000 Pb
0.0000 0.5000 0.7500 W
0.5000 0.0000 0.2500 W
0.1520 0.6729 0.5847 S
0.1729 0.3480 0.9153 S
0.3271 0.1520 0.4153 S
0.3480 0.8271 0.0847 S
0.6520 0.1729 0.0847 S
0.6729 0.8480 0.4153 S
0.8271 0.6520 0.9153 S
0.8480 0.3271 0.5847 S
```

***

Diffraction record for Tm2PbS4. The X-ray powder pattern is simulated, not measured: it uses a structure optimized by DFT (GGA-PBE) and a wavelength of 1.5418 Å.
Peak positions follow from Bragg's law for the DFT cell and can differ from measured ones.

Most intense lines, 10 to 80 degrees two-theta, by angle:
Position (°2θ)  I_rel
24.9  443
25.5  1000
26.9  507
27.1  407
30.4  527
37.1  548
38.2  216
40.7  236
46.1  518
53.4  306

```
Tm2PbS4
1.0
11.9949 0.0000 0.0000
0.0000 3.9387 0.0000
0.0000 0.0000 14.3001
Tm Pb S
8 4 16
direct
0.0599 0.2500 0.1096 Tm
0.0835 0.2500 0.6001 Tm
0.4165 0.7500 0.1001 Tm
0.4401 0.7500 0.6096 Tm
0.5599 0.2500 0.3904 Tm
0.5835 0.2500 0.8999 Tm
0.9165 0.7500 0.3999 Tm
0.9401 0.7500 0.8904 Tm
0.2267 0.2500 0.3358 Pb
0.2733 0.7500 0.8358 Pb
0.7267 0.2500 0.1642 Pb
0.7733 0.7500 0.6642 Pb
0.0199 0.7500 0.7130 S
0.0880 0.2500 0.9239 S
0.1260 0.7500 0.4727 S
0.2051 0.7500 0.1684 S
0.2949 0.2500 0.6684 S
0.3740 0.2500 0.9727 S
0.4120 0.7500 0.4239 S
0.4801 0.2500 0.2130 S
0.5199 0.7500 0.7870 S
0.5880 0.2500 0.5761 S
0.6260 0.7500 0.0273 S
0.7051 0.7500 0.3316 S
0.7949 0.2500 0.8316 S
0.8740 0.2500 0.5273 S
0.9120 0.7500 0.0761 S
0.9801 0.2500 0.2870 S
```

***

Diffraction record for Tm2PbS4. The X-ray powder pattern is simulated, not measured: it uses a structure optimized by DFT (GGA-PBE) and a wavelength of 1.5418 Å.
Peak positions follow from Bragg's law for the DFT cell and can differ from measured ones.

Most intense lines, 10 to 80 degrees two-theta, by angle:
Position (°2θ)  I_rel
19.2  222
25.0  384
25.3  1000
26.9  856
30.4  413
37.1  526
37.4  236
45.2  244
46.1  252
53.4  275

```
Tm2PbS4
1.0
3.9345 -14.2401 0.0000
3.9345 14.2401 0.0000
0.0000 0.0000 12.1422
Tm Pb S
16 8 32
direct
0.0678 0.9322 0.5000 Tm
0.0695 0.4306 0.1210 Tm
0.1714 0.3280 0.6431 Tm
0.1753 0.8247 0.9746 Tm
0.3254 0.6746 0.4725 Tm
0.3280 0.1714 0.1431 Tm
0.4306 0.0695 0.6210 Tm
0.4316 0.5684 0.9924 Tm
0.5684 0.4316 0.4924 Tm
0.5694 0.9305 0.1210 Tm
0.6720 0.8286 0.6431 Tm
0.6746 0.3254 0.9725 Tm
0.8247 0.1753 0.4746 Tm
0.8286 0.6720 0.1431 Tm
0.9305 0.5694 0.6210 Tm
0.9322 0.0678 0.0000 Tm
0.0410 0.4593 0.8135 Pb
0.0463 0.9537 0.8465 Pb
0.4593 0.0410 0.3135 Pb
0.4627 0.5373 0.2902 Pb
0.5373 0.4627 0.7902 Pb
0.5407 0.9590 0.8135 Pb
0.9537 0.0463 0.3465 Pb
0.9590 0.5407 0.3135 Pb
0.0163 0.4867 0.5197 S
0.0205 0.9795 0.0770 S
0.1379 0.3613 0.4333 S
0.1417 0.8583 0.1826 S
0.1613 0.8387 0.4717 S
0.1652 0.3395 0.1435 S
0.2058 0.2901 0.8522 S
0.2086 0.7914 0.7616 S
0.2901 0.2058 0.3522 S
0.2912 0.7088 0.2609 S
0.3379 0.6621 0.9699 S
0.3395 0.1652 0.6435 S
0.3586 0.6414 0.6809 S
0.3613 0.1379 0.9333 S
0.4827 0.5173 0.5931 S
0.4867 0.0163 0.0197 S
0.5133 0.9837 0.5197 S
0.5173 0.4827 0.0931 S
0.6387 0.8621 0.4333 S
0.6414 0.3586 0.1809 S
0.6605 0.8348 0.1435 S
0.6621 0.3379 0.4699 S
0.7088 0.2912 0.7609 S
0.7099 0.7942 0.8522 S
0.7914 0.2086 0.2616 S
0.7942 0.7099 0.3522 S
0.8348 0.6605 0.6435 S
0.8387 0.1613 0.9717 S
0.8583 0.1417 0.6826 S
0.8621 0.6387 0.9333 S
0.9795 0.0205 0.5770 S
0.9837 0.5133 0.0197 S
```

***

Diffraction record for U2PbS6. The X-ray powder pattern is simulated, not measured: it uses a structure optimized by DFT (GGA-PBE) and a wavelength of 1.5418 Å.
Peak positions follow from Bragg's law for the DFT cell and can differ from measured ones.

Most intense lines, 10 to 80 degrees two-theta, by angle:
Position (°2θ)  I_rel
19.7  1000
25.8  796
28.0  230
38.5  813
40.1  221
45.1  195
48.3  281
48.7  194
56.8  166
64.5  160

```
U2PbS6
1.0
6.3629 0.0000 0.0000
0.0000 6.3629 0.0000
0.0000 0.0000 12.3285
U Pb S
4 2 12
direct
0.0000 0.0000 0.1675 U
0.0000 0.0000 0.8325 U
0.5000 0.5000 0.3325 U
0.5000 0.5000 0.6675 U
0.0000 0.0000 0.5000 Pb
0.5000 0.5000 0.0000 Pb
0.1782 0.1782 0.0000 S
0.2061 0.2061 0.3156 S
0.2061 0.2061 0.6844 S
0.2939 0.7061 0.1844 S
0.2939 0.7061 0.8156 S
0.3218 0.6782 0.5000 S
0.6782 0.3218 0.5000 S
0.7061 0.2939 0.1844 S
0.7061 0.2939 0.8156 S
0.7939 0.7939 0.3156 S
0.7939 0.7939 0.6844 S
0.8218 0.8218 0.0000 S
```

***

Diffraction record for U4PbS8. The X-ray powder pattern is simulated, not measured: it uses a structure optimized by DFT (GGA-PBE) and a wavelength of 1.5418 Å.
Peak positions follow from Bragg's law for the DFT cell and can differ from measured ones.

Most intense lines, 10 to 80 degrees two-theta, by angle:
Position (°2θ)  I_rel
12.7  880
25.5  1000
28.4  169
28.7  364
36.1  197
36.3  268
36.6  390
45.0  355
52.5  232
59.0  170

```
U4PbS8
1.0
6.9772 -4.0273 0.0000
6.9772 4.0273 0.0000
-6.8496 0.0000 6.9831
U Pb S
4 1 8
direct
0.2345 0.2345 0.4983 U
0.2473 0.7527 0.0000 U
0.7527 0.2473 0.0000 U
0.7655 0.7655 0.5017 U
0.5000 0.5000 0.5000 Pb
0.0256 0.0256 0.8407 S
0.0337 0.5057 0.3319 S
0.4928 0.4928 0.1803 S
0.4943 0.9663 0.6681 S
0.5057 0.0337 0.3319 S
0.5072 0.5072 0.8197 S
0.9663 0.4943 0.6681 S
0.9744 0.9744 0.1593 S
```